# 1
Structure and simulated XRD peak list of LaNdInRu (a crystal structure in Alexandria, relaxed with GGA-PBE; Cu Kα).
No peak broadening, texture or thermal motion is included.

Largest 6 diffraction maxima, by intensity, 10 to 80 degrees two-theta:
Position (°2θ), I/Imax, h k l
33.99, 100, 2 2 0
60.82, 36, 4 2 2
48.83, 18, 4 0 0
71.54, 11, 4 4 0
23.85, 2, 2 0 0
55.05, 1, 4 2 0

Crystal structure
Cell: 7.4609 7.4609 7.4609 Å, 90.00 90.00 90.00°
Space group F-43m (No. 216)
Unique sites:
La 0.0000 0.0000 0.0000 x4
Nd 0.0000 0.0000 0.5000 x4
In 0.2500 0.2500 0.7500 x4
Ru 0.2500 0.2500 0.2500 x4

***

# 2
Structure and simulated XRD peak list of La2YBeOs (a crystal structure in Alexandria, relaxed with GGA-PBE; Cu Kα).
No peak broadening, texture or thermal motion is included.

Largest 6 diffraction maxima, by intensity, 10 to 80 degrees two-theta:
Position (°2θ), I/Imax, h k l
16.07, 100, 1 0 0
16.32, 85, 0 0 1
32.47, 77, 2 0 0
46.97, 55, 2 0 2
36.55, 48, 2 0 1
32.99, 37, 0 0 2

Crystal structure
Cell: 5.5143 5.5143 5.4307 Å, 90.00 90.00 90.00°
Space group P4/mmm (No. 123)
Unique sites:
La 0.0000 0.5000 0.0000 x2
Y 0.0000 0.0000 0.5000 x1
Be 0.5000 0.5000 0.5000 x1
Os 0.0000 0.0000 0.0000 x1

***

# 3
Structure and simulated XRD peak list of FePd3Pt3 (a crystal structure in Alexandria, relaxed with GGA-PBE; Cu Kα).
No peak broadening, texture or thermal motion is included.

Largest 6 diffraction maxima, by intensity, 10 to 80 degrees two-theta:
Position (°2θ), I/Imax, h k l
40.59, 100, 2 4 1
11.58, 25, 0 2 0
45.77, 19, 0 0 2
47.61, 17, 0 8 0
48.25, 13, 4 0 0
30.94, 12, 1 3 1

Crystal structure
Cell: 7.5452 15.2812 3.9651 Å, 90.00 90.00 90.00°
Space group Cmcm (No. 63)
Unique sites:
Fe 0.0000 0.0743 0.2500 x4
Pd 0.0000 0.3151 0.2500 x4
Pd 0.2446 0.1888 0.2500 x8
Pt 0.0000 0.4396 0.7500 x4
Pt 0.2182 0.0641 0.7500 x8